No. 1
Theoretical X-ray diffraction stick pattern of Sm2Pu4Sb3N2 for Cu Kα, from a PBE-relaxed structure.
Lines closer than 0.1° are merged.

Principal peaks in the range 5° ≤ 2θ ≤ 70°, in order of falling intensity:
| two_theta | d [Å] | Rel. int. |
| --- | --- | --- |
| 34.31 | 2.614 | 100 |
| 38.99 | 2.310 | 42 |
| 28.15 | 3.170 | 38 |
| 67.63 | 1.385 | 32 |
| 30.59 | 2.922 | 23 |
| 13.55 | 6.536 | 16 |
| 52.89 | 1.731 | 15 |
| 6.76 | 13.072 | 15 |
| 56.32 | 1.634 | 15 |
| 63.68 | 1.461 | 14 |

Structure:
```
data_Sm2Pu4Sb3N2
_chemical_formula_sum 'Sm2 Pu4 Sb3 N2'
_space_group_name_H-M_alt 'P 1'
_space_group_IT_number 1
_space_group_name_Hall 'P 1'
_cell_length_a 13.4740
_cell_length_b 13.4740
_cell_length_c 13.4740
_cell_angle_alpha 160.26
_cell_angle_beta 160.26
_cell_angle_gamma 28.07
loop_
_atom_site_label
_atom_site_type_symbol
_atom_site_fract_x
_atom_site_fract_y
_atom_site_fract_z
_atom_site_occupancy
Sm1 Sm 0.1958 0.1958 0.0000 1
Sm2 Sm 0.8042 0.8042 0.0000 1
Pu1 Pu 0.0852 0.5852 0.5000 1
Pu2 Pu 0.4148 0.9148 0.5000 1
Pu3 Pu 0.5852 0.0852 0.5000 1
Pu4 Pu 0.9148 0.4148 0.5000 1
Sb1 Sb 0.3206 0.3206 0.0000 1
Sb2 Sb 0.5000 0.5000 0.0000 1
Sb3 Sb 0.6794 0.6794 0.0000 1
N1 N 0.1051 0.1051 0.0000 1
N2 N 0.8949 0.8949 0.0000 1
```



No. 2
Theoretical X-ray diffraction stick pattern of PuSnSbN for Cu Kα, from a PBE-relaxed structure.
Lines closer than 0.1° are merged.

Principal peaks in the range 5° ≤ 2θ ≤ 70°, in order of falling intensity:
| two_theta | d [Å] | Rel. int. |
| --- | --- | --- |
| 31.77 | 2.817 | 100 |
| 9.89 | 8.940 | 36 |
| 39.88 | 2.260 | 31 |
| 29.99 | 2.980 | 30 |
| 50.69 | 1.801 | 28 |
| 67.36 | 1.390 | 24 |
| 54.38 | 1.687 | 21 |
| 66.37 | 1.408 | 13 |
| 57.68 | 1.598 | 10 |
| 37.75 | 2.383 | 8 |

Structure:
```
data_PuSnSbN
_chemical_formula_sum 'Pu1 Sn1 Sb1 N1'
_space_group_name_H-M_alt 'P 1'
_space_group_IT_number 1
_space_group_name_Hall 'P 1'
_cell_length_a 9.2209
_cell_length_b 9.2209
_cell_length_c 9.2209
_cell_angle_alpha 160.04
_cell_angle_beta 160.04
_cell_angle_gamma 28.38
loop_
_atom_site_label
_atom_site_type_symbol
_atom_site_fract_x
_atom_site_fract_y
_atom_site_fract_z
_atom_site_occupancy
Pu1 Pu 0.0000 0.0000 0.0000 1
Sn1 Sn 0.6652 0.6652 0.0000 1
Sb1 Sb 0.3475 0.3475 0.0000 1
N1 N 0.5379 0.5379 0.0000 1
```



No. 3
Theoretical X-ray diffraction stick pattern of PuZr2ScN4 for Cu Kα, from a PBE-relaxed structure.
Lines closer than 0.1° are merged.

Principal peaks in the range 5° ≤ 2θ ≤ 70°, in order of falling intensity:
| two_theta | d [Å] | Rel. int. |
| --- | --- | --- |
| 33.25 | 2.695 | 100 |
| 38.53 | 2.337 | 53 |
| 55.74 | 1.649 | 35 |
| 16.44 | 5.391 | 32 |
| 66.37 | 1.409 | 29 |
| 38.68 | 2.328 | 26 |
| 31.80 | 2.814 | 22 |
| 19.06 | 4.656 | 20 |
| 26.98 | 3.304 | 18 |
| 55.63 | 1.652 | 18 |

Structure:
```
data_PuZr2ScN4
_chemical_formula_sum 'Pu2 Zr4 Sc2 N8'
_space_group_name_H-M_alt 'P 1'
_space_group_IT_number 1
_space_group_name_Hall 'P 1'
_cell_length_a 6.5965
_cell_length_b 6.5965
_cell_length_c 6.5965
_cell_angle_alpha 119.91
_cell_angle_beta 119.85
_cell_angle_gamma 90.21
loop_
_atom_site_label
_atom_site_type_symbol
_atom_site_fract_x
_atom_site_fract_y
_atom_site_fract_z
_atom_site_occupancy
Pu1 Pu 0.5000 0.0000 0.0000 1
Pu2 Pu 0.5000 0.5000 0.5000 1
Zr1 Zr 0.0000 0.0000 0.0000 1
Zr2 Zr 0.0000 0.0000 0.5000 1
Zr3 Zr 0.0000 0.5000 0.0000 1
Zr4 Zr 0.5000 0.0000 0.5000 1
Sc1 Sc 0.0000 0.5000 0.5000 1
Sc2 Sc 0.5000 0.5000 0.0000 1
N1 N 0.2410 0.7490 0.4921 1
N2 N 0.2431 0.2510 0.9921 1
N3 N 0.2462 0.2465 0.5003 1
N4 N 0.2462 0.7459 0.9997 1
N5 N 0.7538 0.2541 0.0003 1
N6 N 0.7538 0.7535 0.4997 1
N7 N 0.7569 0.7490 0.0079 1
N8 N 0.7590 0.2510 0.5079 1
```



No. 4
Theoretical X-ray diffraction stick pattern of PuUSeN2 for Cu Kα, from a PBE-relaxed structure.
Lines closer than 0.1° are merged.

Principal peaks in the range 5° ≤ 2θ ≤ 70°, in order of falling intensity:
| two_theta | d [Å] | Rel. int. |
| --- | --- | --- |
| 32.36 | 2.766 | 100 |
| 58.81 | 1.570 | 45 |
| 33.21 | 2.698 | 44 |
| 24.47 | 3.637 | 24 |
| 57.17 | 1.611 | 23 |
| 45.12 | 2.009 | 21 |
| 47.68 | 1.908 | 20 |
| 67.75 | 1.383 | 10 |
| 14.70 | 6.026 | 7 |
| 29.65 | 3.013 | 7 |

Structure:
```
data_PuUSeN2
_chemical_formula_sum 'Pu1 U1 Se1 N2'
_space_group_name_H-M_alt 'P 1'
_space_group_IT_number 1
_space_group_name_Hall 'P 1'
_cell_length_a 6.6019
_cell_length_b 6.6019
_cell_length_c 6.6019
_cell_angle_alpha 146.41
_cell_angle_beta 146.41
_cell_angle_gamma 48.24
loop_
_atom_site_label
_atom_site_type_symbol
_atom_site_fract_x
_atom_site_fract_y
_atom_site_fract_z
_atom_site_occupancy
Pu1 Pu 0.0000 0.0000 0.0000 1
U1 U 0.3066 0.3066 0.0000 1
Se1 Se 0.6514 0.6514 0.0000 1
N1 N 0.3940 0.8940 0.5000 1
N2 N 0.8940 0.3940 0.5000 1
```



No. 5
Theoretical X-ray diffraction stick pattern of PuZn2SiN4 for Cu Kα, from a PBE-relaxed structure.
Lines closer than 0.1° are merged.

Principal peaks in the range 5° ≤ 2θ ≤ 70°, in order of falling intensity:
| two_theta | d [Å] | Rel. int. |
| --- | --- | --- |
| 21.09 | 4.213 | 100 |
| 34.78 | 2.579 | 70 |
| 33.83 | 2.650 | 60 |
| 35.70 | 2.515 | 47 |
| 39.38 | 2.288 | 27 |
| 60.53 | 1.530 | 25 |
| 41.02 | 2.200 | 24 |
| 62.34 | 1.490 | 24 |
| 42.63 | 2.121 | 20 |
| 64.14 | 1.452 | 19 |

Structure:
```
data_PuZn2SiN4
_chemical_formula_sum 'Pu1 Zn2 Si1 N4'
_space_group_name_H-M_alt 'P 1'
_space_group_IT_number 1
_space_group_name_Hall 'P 1'
_cell_length_a 5.3073
_cell_length_b 5.1871
_cell_length_c 5.0366
_cell_angle_alpha 62.53
_cell_angle_beta 60.13
_cell_angle_gamma 57.35
loop_
_atom_site_label
_atom_site_type_symbol
_atom_site_fract_x
_atom_site_fract_y
_atom_site_fract_z
_atom_site_occupancy
Pu1 Pu 0.0000 0.0000 0.0000 1
Zn1 Zn 0.2207 0.2207 0.2793 1
Zn2 Zn 0.7207 0.7207 0.7793 1
Si1 Si 0.4549 0.4549 0.5451 1
N1 N 0.1185 0.5416 0.8815 1
N2 N 0.3628 0.7793 0.2207 1
N3 N 0.5416 0.1185 0.4584 1
N4 N 0.7793 0.3628 0.6372 1
```



No. 6
Theoretical X-ray diffraction stick pattern of Sm5PuN6 for Cu Kα, from a PBE-relaxed structure.
Lines closer than 0.1° are merged.

Principal peaks in the range 5° ≤ 2θ ≤ 70°, in order of falling intensity:
| two_theta | d [Å] | Rel. int. |
| --- | --- | --- |
| 30.77 | 2.906 | 100 |
| 35.68 | 2.516 | 71 |
| 51.35 | 1.779 | 49 |
| 61.08 | 1.517 | 30 |
| 64.10 | 1.453 | 17 |
| 61.04 | 1.518 | 15 |
| 17.37 | 5.104 | 2 |
| 19.49 | 4.554 | 1 |
| 15.24 | 5.813 | 1 |
| 16.62 | 5.335 | 1 |

Structure:
```
data_Sm5PuN6
_chemical_formula_sum 'Sm5 Pu1 N6'
_space_group_name_H-M_alt 'P 1'
_space_group_IT_number 1
_space_group_name_Hall 'P 1'
_cell_length_a 6.1621
_cell_length_b 6.1621
_cell_length_c 6.1659
_cell_angle_alpha 99.61
_cell_angle_beta 99.61
_cell_angle_gamma 119.96
loop_
_atom_site_label
_atom_site_type_symbol
_atom_site_fract_x
_atom_site_fract_y
_atom_site_fract_z
_atom_site_occupancy
Sm1 Sm 0.0000 0.0000 0.0000 1
Sm2 Sm 0.1664 0.8336 0.5000 1
Sm3 Sm 0.3338 0.6662 0.0000 1
Sm4 Sm 0.6662 0.3338 0.0000 1
Sm5 Sm 0.8336 0.1664 0.5000 1
Pu1 Pu 0.5000 0.5000 0.5000 1
N1 N 0.1027 0.4198 0.2591 1
N2 N 0.2620 0.2620 0.7420 1
N3 N 0.4198 0.1027 0.2591 1
N4 N 0.5802 0.8973 0.7409 1
N5 N 0.7380 0.7380 0.2580 1
N6 N 0.8973 0.5802 0.7409 1
```



No. 7
Theoretical X-ray diffraction stick pattern of Sm2PuN for Cu Kα, from a PBE-relaxed structure.
Lines closer than 0.1° are merged.

Principal peaks in the range 5° ≤ 2θ ≤ 70°, in order of falling intensity:
| two_theta | d [Å] | Rel. int. |
| --- | --- | --- |
| 29.70 | 3.008 | 100 |
| 38.79 | 2.321 | 72 |
| 27.71 | 3.219 | 50 |
| 36.81 | 2.442 | 39 |
| 30.19 | 2.960 | 37 |
| 60.30 | 1.535 | 35 |
| 52.40 | 1.746 | 32 |
| 43.25 | 2.092 | 25 |
| 62.56 | 1.485 | 17 |
| 59.50 | 1.554 | 17 |

Structure:
```
data_Sm2PuN
_chemical_formula_sum 'Sm2 Pu1 N1'
_space_group_name_H-M_alt 'P 1'
_space_group_IT_number 1
_space_group_name_Hall 'P 1'
_cell_length_a 9.8656
_cell_length_b 9.8656
_cell_length_c 9.8656
_cell_angle_alpha 20.39
_cell_angle_beta 20.39
_cell_angle_gamma 20.39
loop_
_atom_site_label
_atom_site_type_symbol
_atom_site_fract_x
_atom_site_fract_y
_atom_site_fract_z
_atom_site_occupancy
Sm1 Sm 0.1186 0.1186 0.1186 1
Sm2 Sm 0.8814 0.8814 0.8814 1
Pu1 Pu 0.0000 0.0000 0.0000 1
N1 N 0.5000 0.5000 0.5000 1
```



No. 8
Theoretical X-ray diffraction stick pattern of TbSmPu2N4 for Cu Kα, from a PBE-relaxed structure.
Lines closer than 0.1° are merged.

Principal peaks in the range 5° ≤ 2θ ≤ 70°, in order of falling intensity:
| two_theta | d [Å] | Rel. int. |
| --- | --- | --- |
| 31.20 | 2.867 | 100 |
| 36.24 | 2.479 | 90 |
| 31.41 | 2.848 | 33 |
| 52.05 | 1.757 | 32 |
| 52.33 | 1.748 | 31 |
| 62.07 | 1.495 | 30 |
| 65.07 | 1.433 | 16 |
| 61.94 | 1.498 | 15 |
| 62.32 | 1.490 | 15 |
| 15.56 | 5.696 | 9 |

Structure:
```
data_TbSmPu2N4
_chemical_formula_sum 'Tb1 Sm1 Pu2 N4'
_space_group_name_H-M_alt 'P 1'
_space_group_IT_number 1
_space_group_name_Hall 'P 1'
_cell_length_a 6.0458
_cell_length_b 3.5132
_cell_length_c 6.0880
_cell_angle_alpha 90.00
_cell_angle_beta 109.59
_cell_angle_gamma 90.00
loop_
_atom_site_label
_atom_site_type_symbol
_atom_site_fract_x
_atom_site_fract_y
_atom_site_fract_z
_atom_site_occupancy
Tb1 Tb 0.0000 0.0000 0.0000 1
Sm1 Sm 0.0000 0.5000 0.5000 1
Pu1 Pu 0.5000 0.0000 0.5000 1
Pu2 Pu 0.5000 0.5000 0.0000 1
N1 N 0.2636 0.5000 0.2502 1
N2 N 0.2669 0.0000 0.7600 1
N3 N 0.7331 0.0000 0.2400 1
N4 N 0.7364 0.5000 0.7498 1
```



No. 9
Theoretical X-ray diffraction stick pattern of SmPuU2N4 for Cu Kα, from a PBE-relaxed structure.
Lines closer than 0.1° are merged.

Principal peaks in the range 5° ≤ 2θ ≤ 70°, in order of falling intensity:
| two_theta | d [Å] | Rel. int. |
| --- | --- | --- |
| 31.44 | 2.846 | 100 |
| 36.29 | 2.475 | 45 |
| 62.28 | 1.491 | 31 |
| 52.64 | 1.739 | 31 |
| 36.79 | 2.443 | 21 |
| 65.62 | 1.423 | 16 |
| 52.26 | 1.750 | 16 |
| 62.95 | 1.477 | 15 |
| 20.11 | 4.416 | 3 |
| 18.16 | 4.886 | 1 |

Structure:
```
data_SmPuU2N4
_chemical_formula_sum 'Sm1 Pu1 U2 N4'
_space_group_name_H-M_alt 'P 1'
_space_group_IT_number 1
_space_group_name_Hall 'P 1'
_cell_length_a 6.0102
_cell_length_b 6.0102
_cell_length_c 6.0102
_cell_angle_alpha 131.36
_cell_angle_beta 131.36
_cell_angle_gamma 71.25
loop_
_atom_site_label
_atom_site_type_symbol
_atom_site_fract_x
_atom_site_fract_y
_atom_site_fract_z
_atom_site_occupancy
Sm1 Sm 0.0000 0.0000 0.0000 1
Pu1 Pu 0.2500 0.7500 0.5000 1
U1 U 0.5000 0.5000 0.0000 1
U2 U 0.7500 0.2500 0.5000 1
N1 N 0.2640 0.2640 0.0000 1
N2 N 0.5108 0.0108 0.5000 1
N3 N 0.7360 0.7360 0.0000 1
N4 N 0.9892 0.4892 0.5000 1
```



No. 10
Theoretical X-ray diffraction stick pattern of SmPuVN3 for Cu Kα, from a PBE-relaxed structure.
Lines closer than 0.1° are merged.

Principal peaks in the range 5° ≤ 2θ ≤ 70°, in order of falling intensity:
| two_theta | d [Å] | Rel. int. |
| --- | --- | --- |
| 36.12 | 2.487 | 100 |
| 28.57 | 3.124 | 56 |
| 11.87 | 7.454 | 51 |
| 35.51 | 2.528 | 45 |
| 28.73 | 3.108 | 35 |
| 32.58 | 2.749 | 33 |
| 16.12 | 5.498 | 26 |
| 26.25 | 3.395 | 23 |
| 37.20 | 2.417 | 22 |
| 49.81 | 1.831 | 19 |

Structure:
```
data_SmPuVN3
_chemical_formula_sum 'Sm2 Pu2 V2 N6'
_space_group_name_H-M_alt 'P 1'
_space_group_IT_number 1
_space_group_name_Hall 'P 1'
_cell_length_a 7.2463
_cell_length_b 3.4412
_cell_length_c 7.5019
_cell_angle_alpha 90.00
_cell_angle_beta 96.47
_cell_angle_gamma 90.00
loop_
_atom_site_label
_atom_site_type_symbol
_atom_site_fract_x
_atom_site_fract_y
_atom_site_fract_z
_atom_site_occupancy
Sm1 Sm 0.1610 0.2500 0.1687 1
Sm2 Sm 0.8390 0.7500 0.8313 1
Pu1 Pu 0.3694 0.7500 0.8269 1
Pu2 Pu 0.6306 0.2500 0.1731 1
V1 V 0.0963 0.2500 0.5938 1
V2 V 0.9037 0.7500 0.4062 1
N1 N 0.1114 0.2500 0.8452 1
N2 N 0.1677 0.7500 0.5017 1
N3 N 0.4067 0.7500 0.1289 1
N4 N 0.5933 0.2500 0.8711 1
N5 N 0.8323 0.2500 0.4983 1
N6 N 0.8886 0.7500 0.1548 1
```



No. 11
Theoretical X-ray diffraction stick pattern of SrPu4UN8 for Cu Kα, from a PBE-relaxed structure.
Lines closer than 0.1° are merged.

Principal peaks in the range 5° ≤ 2θ ≤ 70°, in order of falling intensity:
| two_theta | d [Å] | Rel. int. |
| --- | --- | --- |
| 30.50 | 2.930 | 100 |
| 25.99 | 3.429 | 42 |
| 30.61 | 2.920 | 32 |
| 48.71 | 1.869 | 31 |
| 31.89 | 2.806 | 30 |
| 53.28 | 1.719 | 24 |
| 53.49 | 1.713 | 22 |
| 45.75 | 1.983 | 17 |
| 62.67 | 1.482 | 16 |
| 15.87 | 5.585 | 14 |

Structure:
```
data_SrPu4UN8
_chemical_formula_sum 'Sr1 Pu4 U1 N8'
_space_group_name_H-M_alt 'P 1'
_space_group_IT_number 1
_space_group_name_Hall 'P 1'
_cell_length_a 6.8523
_cell_length_b 6.8523
_cell_length_c 6.8523
_cell_angle_alpha 60.25
_cell_angle_beta 60.25
_cell_angle_gamma 60.25
loop_
_atom_site_label
_atom_site_type_symbol
_atom_site_fract_x
_atom_site_fract_y
_atom_site_fract_z
_atom_site_occupancy
Sr1 Sr 0.0000 0.0000 0.0000 1
Pu1 Pu 0.0035 0.0035 0.5018 1
Pu2 Pu 0.0035 0.5018 0.0035 1
Pu3 Pu 0.5018 0.0035 0.0035 1
Pu4 Pu 0.6229 0.6229 0.6229 1
U1 U 0.3900 0.3900 0.3900 1
N1 N 0.2192 0.7384 0.7384 1
N2 N 0.2499 0.2499 0.2499 1
N3 N 0.2577 0.2577 0.7651 1
N4 N 0.2577 0.7651 0.2577 1
N5 N 0.7384 0.2192 0.7384 1
N6 N 0.7384 0.7384 0.2192 1
N7 N 0.7651 0.2577 0.2577 1
N8 N 0.7700 0.7700 0.7700 1
```



No. 12
Theoretical X-ray diffraction stick pattern of PuU2TaN4 for Cu Kα, from a PBE-relaxed structure.
Lines closer than 0.1° are merged.

Principal peaks in the range 5° ≤ 2θ ≤ 70°, in order of falling intensity:
| two_theta | d [Å] | Rel. int. |
| --- | --- | --- |
| 32.82 | 2.729 | 100 |
| 37.88 | 2.375 | 58 |
| 32.26 | 2.775 | 35 |
| 54.33 | 1.689 | 31 |
| 37.99 | 2.368 | 29 |
| 65.33 | 1.428 | 20 |
| 55.13 | 1.666 | 20 |
| 64.57 | 1.443 | 11 |
| 68.76 | 1.365 | 10 |
| 65.18 | 1.431 | 10 |

Structure:
```
data_PuU2TaN4
_chemical_formula_sum 'Pu1 U2 Ta1 N4'
_space_group_name_H-M_alt 'P 1'
_space_group_IT_number 1
_space_group_name_Hall 'P 1'
_cell_length_a 5.7653
_cell_length_b 3.3414
_cell_length_c 5.8708
_cell_angle_alpha 90.00
_cell_angle_beta 109.03
_cell_angle_gamma 90.00
loop_
_atom_site_label
_atom_site_type_symbol
_atom_site_fract_x
_atom_site_fract_y
_atom_site_fract_z
_atom_site_occupancy
Pu1 Pu 0.0000 0.0000 0.0000 1
U1 U 0.5000 0.0000 0.5000 1
U2 U 0.5000 0.5000 0.0000 1
Ta1 Ta 0.0000 0.5000 0.5000 1
N1 N 0.2312 0.0000 0.7221 1
N2 N 0.2433 0.5000 0.2726 1
N3 N 0.7567 0.5000 0.7274 1
N4 N 0.7688 0.0000 0.2779 1
```



No. 13
Theoretical X-ray diffraction stick pattern of Tb4PuN5 for Cu Kα, from a PBE-relaxed structure.
Lines closer than 0.1° are merged.

Principal peaks in the range 5° ≤ 2θ ≤ 70°, in order of falling intensity:
| two_theta | d [Å] | Rel. int. |
| --- | --- | --- |
| 31.42 | 2.848 | 100 |
| 36.43 | 2.466 | 69 |
| 52.48 | 1.744 | 48 |
| 62.45 | 1.487 | 45 |
| 65.57 | 1.424 | 16 |
| 21.31 | 4.169 | 2 |
| 16.07 | 5.514 | 2 |
| 22.81 | 3.899 | 1 |
| 45.81 | 1.981 | 1 |
| 51.77 | 1.766 | 1 |

Structure:
```
data_Tb4PuN5
_chemical_formula_sum 'Tb4 Pu1 N5'
_space_group_name_H-M_alt 'P 1'
_space_group_IT_number 1
_space_group_name_Hall 'P 1'
_cell_length_a 6.0405
_cell_length_b 6.0405
_cell_length_c 6.0405
_cell_angle_alpha 99.60
_cell_angle_beta 99.60
_cell_angle_gamma 131.80
loop_
_atom_site_label
_atom_site_type_symbol
_atom_site_fract_x
_atom_site_fract_y
_atom_site_fract_z
_atom_site_occupancy
Tb1 Tb 0.1000 0.6993 0.7993 1
Tb2 Tb 0.3007 0.1000 0.4006 1
Tb3 Tb 0.6993 0.9000 0.5994 1
Tb4 Tb 0.9000 0.3007 0.2007 1
Pu1 Pu 0.5000 0.5000 0.0000 1
N1 N 0.0000 0.0000 0.0000 1
N2 N 0.2081 0.4042 0.6123 1
N3 N 0.4042 0.7919 0.1961 1
N4 N 0.5958 0.2081 0.8039 1
N5 N 0.7919 0.5958 0.3877 1
```



No. 14
Theoretical X-ray diffraction stick pattern of Tb2Pu2N3 for Cu Kα, from a PBE-relaxed structure.
Lines closer than 0.1° are merged.

Principal peaks in the range 5° ≤ 2θ ≤ 70°, in order of falling intensity:
| two_theta | d [Å] | Rel. int. |
| --- | --- | --- |
| 30.19 | 2.960 | 100 |
| 27.91 | 3.196 | 37 |
| 36.61 | 2.454 | 36 |
| 29.86 | 2.992 | 36 |
| 32.41 | 2.762 | 34 |
| 37.84 | 2.377 | 27 |
| 52.09 | 1.756 | 27 |
| 39.37 | 2.289 | 23 |
| 35.49 | 2.529 | 18 |
| 31.72 | 2.821 | 16 |

Structure:
```
data_Tb2Pu2N3
_chemical_formula_sum 'Tb8 Pu8 N12'
_space_group_name_H-M_alt 'P 1'
_space_group_IT_number 1
_space_group_name_Hall 'P 1'
_cell_length_a 10.0244
_cell_length_b 10.0244
_cell_length_c 5.9479
_cell_angle_alpha 106.54
_cell_angle_beta 106.54
_cell_angle_gamma 68.95
loop_
_atom_site_label
_atom_site_type_symbol
_atom_site_fract_x
_atom_site_fract_y
_atom_site_fract_z
_atom_site_occupancy
Tb1 Tb 0.0815 0.9185 0.7500 1
Tb2 Tb 0.2044 0.7956 0.2500 1
Tb3 Tb 0.3272 0.4908 0.9627 1
Tb4 Tb 0.4908 0.3272 0.4627 1
Tb5 Tb 0.5092 0.6728 0.5373 1
Tb6 Tb 0.6728 0.5092 0.0373 1
Tb7 Tb 0.7956 0.2044 0.7500 1
Tb8 Tb 0.9185 0.0815 0.2500 1
Pu1 Pu 0.0947 0.5766 0.4340 1
Pu2 Pu 0.1143 0.2511 0.0814 1
Pu3 Pu 0.2511 0.1143 0.5814 1
Pu4 Pu 0.4234 0.9053 0.0660 1
Pu5 Pu 0.5766 0.0947 0.9340 1
Pu6 Pu 0.7489 0.8857 0.4186 1
Pu7 Pu 0.8857 0.7489 0.9186 1
Pu8 Pu 0.9053 0.4234 0.5660 1
N1 N 0.0232 0.1753 0.6719 1
N2 N 0.1110 0.6790 0.8289 1
N3 N 0.1753 0.0232 0.1719 1
N4 N 0.3182 0.5465 0.3700 1
N5 N 0.3210 0.8890 0.6711 1
N6 N 0.4535 0.6818 0.1300 1
N7 N 0.5465 0.3182 0.8700 1
N8 N 0.6790 0.1110 0.3289 1
N9 N 0.6818 0.4535 0.6300 1
N10 N 0.8247 0.9768 0.8281 1
N11 N 0.8890 0.3210 0.1711 1
N12 N 0.9768 0.8247 0.3281 1
```